Lu2HfZn: calculated powder XRD pattern (copper Kα), based on a crystal structure in OQMD, relaxed with GGA-PBE.
Peak positions follow from Bragg's law for the DFT cell and can differ from measured ones.

Structural model:
Cell lengths 7.1440, 7.1440, 7.1440 Å; angles 90.00, 90.00, 90.00 degrees
Space group F-43m (No. 216)
Asymmetric unit:
1 Lu 0.0000 0.0000 0.0000 x4
2 Lu 0.2500 0.2500 0.2500 x4
3 Hf 0.2500 0.2500 0.7500 x4
4 Zn 0.0000 0.0000 0.5000 x4

Most intense lines, 5° ≤ 2θ ≤ 70°, in order of rising 2θ:
d [Å]	Rel. int.	h k l
4.125	7	1 1 1
3.572	4	2 0 0
2.526	100	2 2 0
2.154	4	3 1 1
1.786	18	4 0 0
1.639	2	3 3 1
1.597	2	4 2 0
1.458	37	4 2 2

***

NdSmB2Pd2N2: calculated powder XRD pattern (copper Kα), based on a crystal structure in OQMD, relaxed with GGA-PBE.
Peak positions follow from Bragg's law for the DFT cell and can differ from measured ones.

Structural model:
Cell lengths 3.7787, 3.7787, 7.7197 Å; angles 90.00, 90.00, 90.00 degrees
Space group P4mm (No. 99)
Asymmetric unit:
1 Nd 0.0000 0.0000 0.0000 x1
2 Sm 0.5000 0.5000 0.3287 x1
3 B 0.0000 0.0000 0.4970 x1
4 B 0.5000 0.5000 0.8338 x1
5 Pd 0.0000 0.5000 0.6638 x2
6 N 0.0000 0.0000 0.3130 x1
7 N 0.5000 0.5000 0.0182 x1

Most intense lines, 5° ≤ 2θ ≤ 70°, in order of rising 2θ:
d [Å]	Rel. int.	h k l
3.394	71	1 0 1
2.700	52	1 0 2
2.573	50	0 0 3
2.525	100	1 1 1
2.197	65	1 1 2
1.889	45	2 0 0
1.565	26	1 1 4
1.523	39	2 0 3

***

Li8Sn2Hg: calculated powder XRD pattern (copper Kα), based on a crystal structure in OQMD, relaxed with GGA-PBE.
Peak positions follow from Bragg's law for the DFT cell and can differ from measured ones.

Structural model:
Cell lengths 4.5914, 4.5914, 30.7019 Å; angles 90.00, 90.00, 120.00 degrees
Space group R-3m (No. 166, hexagonal axes)
Asymmetric unit:
1 Li 0.0000 0.0000 0.0891 x6
2 Li 0.0000 0.0000 0.1771 x6
3 Li 0.0000 0.0000 0.2658 x6
4 Li 0.0000 0.0000 0.3605 x6
5 Sn 0.0000 0.0000 0.4512 x6
6 Hg 0.0000 0.0000 0.0000 x3

Most intense lines, 5° ≤ 2θ ≤ 70°, in order of rising 2θ:
d [Å]	Rel. int.	h k l
3.849	100	0 1 2
3.531	41	1 0 4
3.411	29	0 0 9
2.946	36	1 0 7
2.296	41	1 1 0
2.284	39	0 1 11
1.972	17	2 0 2
1.905	35	1 1 9

***

Mg2Sc2Cd3Au: calculated powder XRD pattern (copper Kα), based on a crystal structure in OQMD, relaxed with GGA-PBE.
Peak positions follow from Bragg's law for the DFT cell and can differ from measured ones.

Structural model:
Cell lengths 4.8702, 4.8702, 6.8509 Å; angles 90.00, 90.00, 90.00 degrees
Space group P-4m2 (No. 115)
Asymmetric unit:
1 Mg 0.0000 0.5000 0.2425 x2
2 Sc 0.0000 0.5000 0.7606 x2
3 Cd 0.0000 0.0000 0.0000 x1
4 Cd 0.0000 0.0000 0.5000 x1
5 Cd 0.5000 0.5000 0.5000 x1
6 Au 0.5000 0.5000 0.0000 x1

Most intense lines, 5° ≤ 2θ ≤ 70°, in order of rising 2θ:
d [Å]	Rel. int.	h k l
3.444	43	1 1 0
3.425	22	0 0 2
2.435	51	2 0 0
2.429	100	1 1 2
1.985	19	2 0 2
1.722	17	2 2 0
1.539	17	2 2 2
1.405	34	3 1 2

***

Pr3Zn2Sn4Pd2: calculated powder XRD pattern (copper Kα), based on a crystal structure in OQMD, relaxed with GGA-PBE.
Peak positions follow from Bragg's law for the DFT cell and can differ from measured ones.

Structural model:
Cell lengths 4.2270, 4.6396, 27.5782 Å; angles 90.00, 90.00, 90.00 degrees
Space group Immm (No. 71)
Asymmetric unit:
1 Pr 0.0000 0.0000 0.0000 x2
2 Pr 0.0000 0.5000 0.1460 x4
3 Zn 0.0000 0.0000 0.2528 x4
4 Sn 0.0000 0.0000 0.4488 x4
5 Sn 0.0000 0.5000 0.3092 x4
6 Pd 0.0000 0.5000 0.4044 x4

Most intense lines, 5° ≤ 2θ ≤ 70°, in order of rising 2θ:
d [Å]	Rel. int.	h k l
3.047	29	1 1 2
2.882	64	1 0 7
2.846	100	1 1 4
2.320	45	0 2 0
2.206	47	0 1 11
2.114	32	2 0 0
1.807	33	1 2 7
1.526	29	2 1 11

***

Rb5BaTaP4: calculated powder XRD pattern (copper Kα), based on a crystal structure in OQMD, relaxed with GGA-PBE.
Peak positions follow from Bragg's law for the DFT cell and can differ from measured ones.

Structural model:
Cell lengths 10.4762, 18.3535, 8.1561 Å; angles 90.00, 92.59, 90.00 degrees
Space group Cc (No. 9)
Asymmetric unit:
1 Rb 0.0000 0.0310 0.0000 x4
2 Rb 0.2005 0.2331 0.0016 x4
3 Rb 0.2101 0.4305 0.1617 x4
4 Rb 0.2730 0.0699 0.7143 x4
5 Rb 0.4924 0.1382 0.1809 x4
6 Ba 0.2980 0.2655 0.4953 x4
7 Ta 0.4950 0.3311 0.8971 x4
8 P 0.1911 0.1084 0.3246 x4
9 P 0.3077 0.3917 0.7786 x4
10 P 0.4849 0.3266 0.1928 x4
11 P 0.4995 0.2065 0.7940 x4

Most intense lines, 5° ≤ 2θ ≤ 70°, in order of rising 2θ:
d [Å]	Rel. int.	h k l
9.134	100	0 2 0
3.209	96	3 1 -1
3.144	38	2 4 1
3.110	36	3 1 1
3.095	39	2 2 -2
3.046	36	0 4 2
2.641	69	2 6 0
2.616	36	4 0 0

***

Li4GeSbPt2: calculated powder XRD pattern (copper Kα), based on a crystal structure in OQMD, relaxed with GGA-PBE.
Peak positions follow from Bragg's law for the DFT cell and can differ from measured ones.

Structural model:
Cell lengths 4.3323, 4.3323, 6.3217 Å; angles 90.00, 90.00, 90.00 degrees
Space group P-4m2 (No. 115)
Asymmetric unit:
1 Li 0.0000 0.0000 0.0000 x1
2 Li 0.0000 0.5000 0.7253 x2
3 Li 0.5000 0.5000 0.5000 x1
4 Ge 0.0000 0.0000 0.5000 x1
5 Sb 0.5000 0.5000 0.0000 x1
6 Pt 0.0000 0.5000 0.2701 x2

Most intense lines, 5° ≤ 2θ ≤ 70°, in order of rising 2θ:
d [Å]	Rel. int.	h k l
3.574	100	1 0 1
3.063	7	1 1 0
2.200	55	1 1 2
2.166	27	2 0 0
1.895	16	1 0 3
1.852	32	2 1 1
1.532	9	2 2 0
1.426	12	2 1 3

***

CuAg: calculated powder XRD pattern (copper Kα), based on a crystal structure in OQMD, relaxed with GGA-PBE.
Peak positions follow from Bragg's law for the DFT cell and can differ from measured ones.

Structural model:
Cell lengths 11.3927, 2.8398, 9.3681 Å; angles 90.00, 98.16, 90.00 degrees
Space group Cm (No. 8)
Asymmetric unit:
1 Cu 0.0000 0.0000 0.0000 x2
2 Cu 0.0005 0.5000 0.5078 x2
3 Cu 0.2068 0.0000 0.5976 x2
4 Cu 0.3140 0.5000 0.4174 x2
5 Cu 0.3950 0.5000 0.6778 x2
6 Ag 0.0901 0.5000 0.7892 x2
7 Ag 0.1143 0.0000 0.3229 x2
8 Ag 0.1952 0.5000 0.0935 x2
9 Ag 0.3114 0.0000 0.8847 x2
10 Ag 0.4053 0.0000 0.2073 x2

Most intense lines, 5° ≤ 2θ ≤ 70°, in order of rising 2θ:
d [Å]	Rel. int.	h k l
2.270	47	4 0 2
2.260	47	2 0 -4
2.246	100	3 1 -1
2.022	67	1 1 3
1.835	25	6 0 -2
1.420	11	0 2 0
1.361	15	7 1 1
1.357	17	5 1 -5